Simulated powder diffractogram
Compound: LiPu2InTe4
Radiation: Cu Kα (weighted mean of Kα1 and Kα2)
Structure: a crystal structure in Alexandria, relaxed with GGA-PBE
Neutral-atom scattering factors, no anomalous dispersion.

Structural model:
```
LiPu2InTe4
1.0
2.248 -7.377 0.000
2.248 7.377 0.000
0.000 0.000 15.689
Li Pu In Te
2 4 2 8
direct
0.160 0.840 0.750
0.840 0.160 0.250
0.367 0.633 0.063
0.367 0.633 0.437
0.633 0.367 0.563
0.633 0.367 0.937
0.114 0.886 0.250
0.886 0.114 0.750
0.000 0.000 0.000
0.000 0.000 0.500
0.270 0.730 0.612
0.270 0.730 0.888
0.443 0.557 0.250
0.557 0.443 0.750
0.730 0.270 0.112
0.730 0.270 0.388
```

Peak list (10 most intense, 10° ≤ 2θ ≤ 90°, by angle)
2θ (°)	Rel. int.
11.28	46
20.82	66
25.72	52
26.87	47
27.47	90
29.22	100
35.41	61
40.10	45
40.41	81
40.54	44